[1]
Diffraction record for MgTe3WO12. The powder diffraction line list is simulated, not measured: it uses a DFT-relaxed cell (PBE+U, the Materials Project) and Cu Ka.

Largest 12 diffraction maxima, sorted by position, 2θ from 5° to 70°:
| Position (°2θ) | d_spacing | I/Imax |
| --- | --- | --- |
| 19.6 | 4.533 | 40 |
| 19.8 | 4.483 | 100 |
| 31.1 | 2.876 | 35 |
| 32.1 | 2.785 | 33 |
| 33.7 | 2.658 | 13 |
| 34.3 | 2.617 | 9 |
| 35.3 | 2.542 | 20 |
| 38.6 | 2.335 | 13 |
| 40.3 | 2.240 | 15 |
| 49.3 | 1.848 | 13 |
| 50.7 | 1.800 | 14 |
| 55.8 | 1.649 | 9 |

Structure:
Cell lengths 5.2427, 8.6846, 5.3232 Å; angles 90.00, 93.18, 90.00 degrees
Space group P2 (No. 3)
Asymmetric unit:
Mg (0.0000, 0.0000, 0.0000) (multiplicity 1)
Te (0.0000, 0.2036, 0.5000) (multiplicity 1)
Te (0.5000, 0.6971, 0.0000) (multiplicity 1)
Te (0.5000, 0.8881, 0.5000) (multiplicity 1)
W (0.0000, 0.3924, 0.0000) (multiplicity 1)
O (0.1860, 0.3675, 0.6926) (multiplicity 2)
O (0.1941, 0.0479, 0.6779) (multiplicity 2)
O (0.1939, 0.2197, 0.1889) (multiplicity 2)
O (0.2573, 0.5369, 0.0986) (multiplicity 2)
O (0.2775, 0.8514, 0.1499) (multiplicity 2)
O (0.3154, 0.7151, 0.6785) (multiplicity 2)

[2]
Diffraction record for MnV2HPb2O9. The powder diffraction line list is simulated, not measured: it uses a DFT-relaxed cell (PBE+U, the Materials Project) and Cu Ka.

Largest 12 diffraction maxima, sorted by position, 2θ from 5° to 70°:
| Position (°2θ) | d_spacing | I/Imax |
| --- | --- | --- |
| 17.7 | 5.023 | 42 |
| 23.5 | 3.785 | 31 |
| 27.0 | 3.306 | 100 |
| 28.2 | 3.167 | 47 |
| 30.0 | 2.979 | 24 |
| 30.5 | 2.928 | 39 |
| 31.7 | 2.824 | 69 |
| 37.6 | 2.394 | 21 |
| 42.0 | 2.150 | 29 |
| 49.1 | 1.854 | 35 |
| 51.5 | 1.776 | 23 |
| 52.1 | 1.755 | 22 |

Structure:
Cell lengths 7.7928, 6.3346, 8.7874 Å; angles 90.00, 110.21, 90.00 degrees
Space group P2_1/m (No. 11)
Asymmetric unit:
Mn (0.0000, 0.0000, 0.0000) (multiplicity 2)
V (0.0381, 0.2500, 0.3380) (multiplicity 2)
V (0.4474, 0.2500, 0.1742) (multiplicity 2)
H (0.2630, 0.7500, 0.0191) (multiplicity 2)
Pb (0.2809, 0.2500, 0.7506) (multiplicity 2)
Pb (0.3374, 0.7500, 0.4169) (multiplicity 2)
O (0.0158, 0.5169, 0.7847) (multiplicity 4)
O (0.0850, 0.7500, 0.5363) (multiplicity 2)
O (0.1657, 0.7500, 0.0712) (multiplicity 2)
O (0.2109, 0.2500, 0.0637) (multiplicity 2)
O (0.2658, 0.2500, 0.4582) (multiplicity 2)
O (0.4433, 0.7500, 0.9652) (multiplicity 2)
O (0.4872, 0.5269, 0.6984) (multiplicity 4)

[3]
Diffraction record for MgMn2P2H2O10. The powder diffraction line list is simulated, not measured: it uses a DFT-relaxed cell (PBE+U, the Materials Project) and Cu Ka.

Largest 12 diffraction maxima, sorted by position, 2θ from 5° to 70°:
| Position (°2θ) | d_spacing | I/Imax |
| --- | --- | --- |
| 17.5 | 5.065 | 14 |
| 18.8 | 4.713 | 26 |
| 21.5 | 4.134 | 19 |
| 25.2 | 3.538 | 15 |
| 26.0 | 3.424 | 18 |
| 26.1 | 3.409 | 16 |
| 26.7 | 3.337 | 100 |
| 29.6 | 3.022 | 49 |
| 34.7 | 2.583 | 40 |
| 36.0 | 2.497 | 16 |
| 51.7 | 1.769 | 12 |
| 54.3 | 1.688 | 11 |

Structure:
Cell lengths 5.2076, 5.5588, 7.2986 Å; angles 109.71, 105.05, 100.69 degrees
Space group P1 (No. 1)
Asymmetric unit:
Mg (0.0000, 0.0000, 0.0000) (multiplicity 1)
Mn (0.0675, 0.4401, 0.8272) (multiplicity 1)
Mn (0.5871, 0.9429, 0.3438) (multiplicity 1)
P (0.4987, 0.5718, 0.6006) (multiplicity 1)
P (0.6471, 0.3162, 0.0799) (multiplicity 1)
H (0.0759, 0.7081, 0.1866) (multiplicity 1)
H (0.1037, 0.1447, 0.5094) (multiplicity 1)
O (0.2001, 0.7661, 0.1137) (multiplicity 1)
O (0.3283, 0.2345, 0.9869) (multiplicity 1)
O (0.3513, 0.6218, 0.7649) (multiplicity 1)
O (0.4010, 0.2735, 0.4526) (multiplicity 1)
O (0.4298, 0.7517, 0.4843) (multiplicity 1)
O (0.7411, 0.1196, 0.1801) (multiplicity 1)
O (0.7715, 0.6136, 0.2223) (multiplicity 1)
O (0.7863, 0.2492, 0.9078) (multiplicity 1)
O (0.8139, 0.6709, 0.7336) (multiplicity 1)
O (0.9514, 0.1241, 0.5679) (multiplicity 1)

[4]
Diffraction record for LiCrCo3O8. The powder diffraction line list is simulated, not measured: it uses a DFT-relaxed cell (PBE+U, the Materials Project) and Cu Ka.

Largest 12 diffraction maxima, sorted by position, 2θ from 5° to 70°:
| Position (°2θ) | d_spacing | I/Imax |
| --- | --- | --- |
| 17.9 | 4.967 | 100 |
| 36.2 | 2.484 | 4 |
| 36.6 | 2.457 | 10 |
| 36.8 | 2.441 | 19 |
| 38.2 | 2.355 | 5 |
| 43.6 | 2.075 | 15 |
| 44.0 | 2.059 | 29 |
| 47.7 | 1.906 | 8 |
| 56.7 | 1.622 | 5 |
| 57.1 | 1.612 | 10 |
| 62.3 | 1.490 | 7 |
| 64.9 | 1.436 | 4 |

Structure:
Cell lengths 5.7071, 5.7317, 10.4572 Å; angles 74.46, 74.21, 60.28 degrees
Space group P-1 (No. 2)
Asymmetric unit:
Li (0.2487, 0.2508, 0.2510) (multiplicity 2)
Cr (0.0000, 0.0000, 0.0000) (multiplicity 1)
Cr (0.5000, 0.5000, 0.5000) (multiplicity 1)
Co (0.0000, 0.0000, 0.5000) (multiplicity 1)
Co (0.0000, 0.5000, 0.0000) (multiplicity 1)
Co (0.0000, 0.5000, 0.5000) (multiplicity 1)
Co (0.5000, 0.0000, 0.0000) (multiplicity 1)
Co (0.5000, 0.0000, 0.5000) (multiplicity 1)
Co (0.5000, 0.5000, 0.0000) (multiplicity 1)
O (0.1156, 0.6426, 0.6005) (multiplicity 2)
O (0.1344, 0.1357, 0.5973) (multiplicity 2)
O (0.1418, 0.6175, 0.0982) (multiplicity 2)
O (0.1439, 0.1436, 0.0989) (multiplicity 2)
O (0.3566, 0.3596, 0.3990) (multiplicity 2)
O (0.3584, 0.8846, 0.4001) (multiplicity 2)
O (0.3662, 0.3648, 0.9026) (multiplicity 2)
O (0.3852, 0.8573, 0.9016) (multiplicity 2)

[5]
Diffraction record for K2Na4Co2O5. The powder diffraction line list is simulated, not measured: it uses a DFT-relaxed cell (PBE+U, the Materials Project) and Cu Ka.

Largest 12 diffraction maxima, sorted by position, 2θ from 5° to 70°:
| Position (°2θ) | d_spacing | I/Imax |
| --- | --- | --- |
| 16.9 | 5.242 | 26 |
| 21.4 | 4.146 | 37 |
| 27.9 | 3.192 | 23 |
| 31.3 | 2.855 | 12 |
| 32.9 | 2.726 | 100 |
| 34.2 | 2.621 | 31 |
| 35.8 | 2.507 | 40 |
| 39.9 | 2.257 | 55 |
| 47.1 | 1.931 | 18 |
| 53.6 | 1.710 | 21 |
| 60.4 | 1.533 | 24 |
| 62.5 | 1.485 | 19 |

Structure:
Cell lengths 6.3845, 6.3845, 10.4830 Å; angles 90.00, 90.00, 90.00 degrees
Space group P4_2/mnm (No. 136)
Asymmetric unit:
K (0.1961, 0.1961, 0.0000) (multiplicity 4)
Na (0.0000, 0.0000, 0.2796) (multiplicity 4)
Na (0.0000, 0.5000, 0.2500) (multiplicity 4)
Co (0.2137, 0.2137, 0.5000) (multiplicity 4)
O (0.0000, 0.0000, 0.5000) (multiplicity 2)
O (0.2133, 0.7867, 0.1615) (multiplicity 8)